For AcAsN, the PBE geometry in Alexandria gives the calculated X-ray powder pattern in this record (CuKα).
Neutral-atom scattering factors, no anomalous dispersion.

Most intense lines, 2θ = 10–90°, sorted by position:
2θ (°), I/Imax, (hkl)
19.69, 19, 0 0 4
26.99, 100, 1 0 3
32.01, 72, 1 1 0
33.62, 53, 1 0 5
45.90, 26, 2 0 0
54.05, 32, 2 1 3

Atomic structure:
```
data_AcAsN
_cell_length_a 3.9542
_cell_length_b 3.9542
_cell_length_c 18.0374
_cell_angle_alpha 90.00
_cell_angle_beta 90.00
_cell_angle_gamma 90.00
_symmetry_space_group_name_H-M 'I 4/m m m'
_symmetry_Int_Tables_number 139
_symmetry_space_group_name_Hall '-I 4 2'
loop_
_atom_site_label
_atom_site_fract_x
_atom_site_fract_y
_atom_site_fract_z
Ac1 0.0000 0.0000 0.1705
As1 0.0000 0.0000 0.4193
N1 0.0000 0.0000 0.3109
```

For Ac3AsPbN, the PBE geometry in Alexandria gives the calculated X-ray powder pattern in this record (CuKα).
Neutral-atom scattering factors, no anomalous dispersion.

Most intense lines, 2θ = 10–90°, sorted by position:
2θ (°), I/Imax, (hkl)
26.92, 55, 0 0 3
27.34, 66, 3 0 0
27.45, 100, 2 1 -1
35.21, 47, 2 1 2
41.38, 27, 0 2 0
42.18, 23, 2 1 -4

Atomic structure:
```
data_Ac3AsPbN
_cell_length_a 10.0715
_cell_length_b 4.3640
_cell_length_c 10.2178
_cell_angle_alpha 90.00
_cell_angle_beta 103.52
_cell_angle_gamma 90.00
_symmetry_space_group_name_H-M 'P 1 21/m 1'
_symmetry_Int_Tables_number 11
_symmetry_space_group_name_Hall '-P 2yb'
loop_
_atom_site_label
_atom_site_fract_x
_atom_site_fract_y
_atom_site_fract_z
Ac1 0.0663 0.2500 0.3394
Ac2 0.3420 0.2500 0.9801
Ac3 0.3885 0.7500 0.6597
As1 0.1559 0.2500 0.6513
Pb1 0.3122 0.7500 0.2791
N1 0.4176 0.7500 0.8953
```

For Ac2UAs2N2, the PBE geometry in Alexandria gives the calculated X-ray powder pattern in this record (CuKα).
Neutral-atom scattering factors, no anomalous dispersion.

Most intense lines, 2θ = 10–90°, sorted by position:
2θ (°), I/Imax, (hkl)
22.71, 24, 1 1 0
24.39, 45, 2 0 -2
28.96, 100, 1 1 1
29.30, 58, 4 0 -1
34.26, 60, 3 1 -2
42.92, 27, 0 2 0

Atomic structure:
```
data_Ac2UAs2N2
_cell_length_a 12.2538
_cell_length_b 4.2144
_cell_length_c 7.3426
_cell_angle_alpha 90.00
_cell_angle_beta 120.33
_cell_angle_gamma 90.00
_symmetry_space_group_name_H-M 'C 1 2/m 1'
_symmetry_Int_Tables_number 12
_symmetry_space_group_name_Hall '-C 2y'
loop_
_atom_site_label
_atom_site_fract_x
_atom_site_fract_y
_atom_site_fract_z
Ac1 0.1895 0.0000 0.2225
U1 0.0000 0.0000 0.5000
As1 0.0526 0.5000 0.8090
N1 0.1770 0.0000 0.5777
```

For AcZnAsN, the PBE geometry in Alexandria gives the calculated X-ray powder pattern in this record (CuKα).
Neutral-atom scattering factors, no anomalous dispersion.

Most intense lines, 2θ = 10–90°, sorted by position:
2θ (°), I/Imax, (hkl)
25.84, 100, 1 0 1
29.02, 46, 1 0 2
30.25, 32, 0 0 4
33.70, 90, 1 0 3
43.48, 54, 1 1 0
53.89, 38, 1 1 4

Atomic structure:
```
data_AcZnAsN
_cell_length_a 4.1622
_cell_length_b 4.1622
_cell_length_c 11.8171
_cell_angle_alpha 90.00
_cell_angle_beta 90.00
_cell_angle_gamma 120.00
_symmetry_space_group_name_H-M 'P 63 m c'
_symmetry_Int_Tables_number 186
_symmetry_space_group_name_Hall 'P 6c -2c'
loop_
_atom_site_label
_atom_site_fract_x
_atom_site_fract_y
_atom_site_fract_z
Ac1 0.3333 0.6667 0.0000
Zn1 0.0000 0.0000 0.2821
As1 0.3333 0.6667 0.7061
N1 0.0000 0.0000 0.4486
```

For NaAcAs2O7, the PBE geometry in Alexandria gives the calculated X-ray powder pattern in this record (CuKα).
Neutral-atom scattering factors, no anomalous dispersion.

Most intense lines, 2θ = 10–90°, sorted by position:
2θ (°), I/Imax, (hkl)
25.83, 35, 1 0 1
29.23, 100, 1 0 2
31.37, 20, 0 0 4
35.08, 32, 1 1 0
47.76, 28, 1 1 4
59.37, 28, 2 1 2

Atomic structure:
```
data_NaAcAs2O7
_cell_length_a 3.6180
_cell_length_b 3.6180
_cell_length_c 11.4070
_cell_angle_alpha 90.00
_cell_angle_beta 90.00
_cell_angle_gamma 90.00
_symmetry_space_group_name_H-M 'P 4/m m m'
_symmetry_Int_Tables_number 123
_symmetry_space_group_name_Hall '-P 4 2'
loop_
_atom_site_label
_atom_site_fract_x
_atom_site_fract_y
_atom_site_fract_z
Na1 0.0000 0.0000 0.0000
Ac1 0.0000 0.0000 0.5000
As1 0.5000 0.5000 0.2630
O1 0.0000 0.5000 0.3173
O2 0.5000 0.5000 0.1158
O3 0.5000 0.5000 0.5000
```

For Na2AcAsSe4, the PBE geometry in Alexandria gives the calculated X-ray powder pattern in this record (CuKα).
Neutral-atom scattering factors, no anomalous dispersion.

Most intense lines, 2θ = 10–90°, sorted by position:
2θ (°), I/Imax, (hkl)
12.41, 13, 0 1 1
13.00, 35, 1 0 1
23.98, 20, 1 2 1
29.62, 100, 0 0 4
42.41, 48, 2 2 4
53.87, 15, 4 0 4

Atomic structure:
```
data_Na2AcAsSe4
_cell_length_a 8.2578
_cell_length_b 8.8496
_cell_length_c 12.0368
_cell_angle_alpha 90.00
_cell_angle_beta 90.00
_cell_angle_gamma 90.00
_symmetry_space_group_name_H-M 'I m m a'
_symmetry_Int_Tables_number 74
_symmetry_space_group_name_Hall '-I 2b 2'
loop_
_atom_site_label
_atom_site_fract_x
_atom_site_fract_y
_atom_site_fract_z
Na1 0.0000 0.0000 0.0000
Na2 0.2500 0.2500 0.2500
Ac1 0.0000 0.0000 0.5000
As1 0.2500 0.2500 0.7500
Se1 0.0000 0.0341 0.7548
Se2 0.2432 0.2500 0.9843
```

For AcNd4As5, the PBE geometry in Alexandria gives the calculated X-ray powder pattern in this record (CuKα).
Neutral-atom scattering factors, no anomalous dispersion.

Most intense lines, 2θ = 10–90°, sorted by position:
2θ (°), I/Imax, (hkl)
25.18, 23, 0 1 5
29.15, 100, 0 2 0
41.70, 76, 2 0 0
51.68, 27, 2 2 0
68.49, 34, 3 0 5
76.11, 25, 2 4 0

Atomic structure:
```
data_AcNd4As5
_cell_length_a 4.3294
_cell_length_b 6.1304
_cell_length_c 21.6632
_cell_angle_alpha 90.00
_cell_angle_beta 90.00
_cell_angle_gamma 90.00
_symmetry_space_group_name_H-M 'I m m m'
_symmetry_Int_Tables_number 71
_symmetry_space_group_name_Hall '-I 2 2'
loop_
_atom_site_label
_atom_site_fract_x
_atom_site_fract_y
_atom_site_fract_z
Ac1 0.0000 0.0000 0.0000
Nd1 0.0000 0.0000 0.2023
Nd2 0.0000 0.0000 0.3983
As1 0.0000 0.5000 0.0000
As2 0.0000 0.5000 0.1995
As3 0.0000 0.5000 0.3946
```

For AcNdAsO2, the PBE geometry in Alexandria gives the calculated X-ray powder pattern in this record (CuKα).
Neutral-atom scattering factors, no anomalous dispersion.

Most intense lines, 2θ = 10–90°, sorted by position:
2θ (°), I/Imax, (hkl)
23.00, 19, 1 0 1
29.57, 100, 1 0 3
31.38, 37, 1 1 0
44.97, 19, 2 0 0
51.29, 23, 1 1 6
54.75, 36, 2 1 3

Atomic structure:
```
data_AcNdAsO2
_cell_length_a 4.0313
_cell_length_b 4.0313
_cell_length_c 13.6890
_cell_angle_alpha 90.00
_cell_angle_beta 90.00
_cell_angle_gamma 90.00
_symmetry_space_group_name_H-M 'I 4 m m'
_symmetry_Int_Tables_number 107
_symmetry_space_group_name_Hall 'I 4 -2'
loop_
_atom_site_label
_atom_site_fract_x
_atom_site_fract_y
_atom_site_fract_z
Ac1 0.0000 0.0000 0.0000
Nd1 0.0000 0.0000 0.6863
As1 0.0000 0.0000 0.3408
O1 0.0000 0.5000 0.0997
```

For AcNdAs2O8, the PBE geometry in Alexandria gives the calculated X-ray powder pattern in this record (CuKα).
Neutral-atom scattering factors, no anomalous dispersion.

Most intense lines, 2θ = 10–90°, sorted by position:
2θ (°), I/Imax, (hkl)
18.41, 19, 1 0 1
28.20, 100, 1 1 2
34.12, 22, 2 0 0
45.78, 29, 2 0 4
51.66, 19, 1 1 6
57.52, 27, 1 3 2

Atomic structure:
```
data_AcNdAs2O8
_cell_length_a 5.2558
_cell_length_b 5.2558
_cell_length_c 12.0716
_cell_angle_alpha 90.00
_cell_angle_beta 90.00
_cell_angle_gamma 90.00
_symmetry_space_group_name_H-M 'I -4'
_symmetry_Int_Tables_number 82
_symmetry_space_group_name_Hall 'I -4'
loop_
_atom_site_label
_atom_site_fract_x
_atom_site_fract_y
_atom_site_fract_z
Ac1 0.0000 0.0000 0.0000
Nd1 0.0000 0.5000 0.7500
As1 0.0000 0.0000 0.5000
As2 0.0000 0.5000 0.2500
O1 0.1216 0.2473 0.5782
O2 0.1384 0.7453 0.1762
```

For Ac2Ni4As3P, the PBE geometry in Alexandria gives the calculated X-ray powder pattern in this record (CuKα).
Neutral-atom scattering factors, no anomalous dispersion.

Most intense lines, 2θ = 10–90°, sorted by position:
2θ (°), I/Imax, (hkl)
22.63, 21, 1 0 1
29.35, 21, 1 1 0
34.88, 100, 1 0 3
41.98, 32, 2 0 0
55.68, 27, 2 1 3
72.12, 19, 3 0 3

Atomic structure:
```
data_Ac2Ni4As3P
_cell_length_a 4.3040
_cell_length_b 4.3040
_cell_length_c 9.6278
_cell_angle_alpha 90.00
_cell_angle_beta 90.00
_cell_angle_gamma 90.00
_symmetry_space_group_name_H-M 'P -4 m 2'
_symmetry_Int_Tables_number 115
_symmetry_space_group_name_Hall 'P -4 -2'
loop_
_atom_site_label
_atom_site_fract_x
_atom_site_fract_y
_atom_site_fract_z
Ac1 0.0000 0.5000 0.2489
Ni1 0.0000 0.0000 0.5000
Ni2 0.0000 0.5000 0.8928
Ni3 0.5000 0.5000 0.5000
As1 0.0000 0.0000 0.0000
As2 0.0000 0.5000 0.6274
P1 0.5000 0.5000 0.0000
```

For AcNi3AsP, the PBE geometry in Alexandria gives the calculated X-ray powder pattern in this record (CuKα).
Neutral-atom scattering factors, no anomalous dispersion.

Most intense lines, 2θ = 10–90°, sorted by position:
2θ (°), I/Imax, (hkl)
28.65, 67, 0 4 0
30.36, 100, 1 3 1
32.92, 70, 2 2 0
34.27, 69, 0 2 2
43.36, 77, 2 0 2
52.80, 45, 2 4 2

Atomic structure:
```
data_AcNi3AsP
_cell_length_a 6.0475
_cell_length_b 12.4654
_cell_length_c 5.7664
_cell_angle_alpha 90.00
_cell_angle_beta 90.00
_cell_angle_gamma 90.00
_symmetry_space_group_name_H-M 'C m c m'
_symmetry_Int_Tables_number 63
_symmetry_space_group_name_Hall '-C 2c 2'
loop_
_atom_site_label
_atom_site_fract_x
_atom_site_fract_y
_atom_site_fract_z
Ac1 0.0000 0.2375 0.2500
Ni1 0.0000 0.2426 0.7500
Ni2 0.2129 0.5000 0.0000
As1 0.0000 0.0640 0.7500
P1 0.0000 0.4112 0.7500
```

For Ac2Ni3As4Ru, the PBE geometry in Alexandria gives the calculated X-ray powder pattern in this record (CuKα).
Neutral-atom scattering factors, no anomalous dispersion.

Most intense lines, 2θ = 10–90°, sorted by position:
2θ (°), I/Imax, (hkl)
22.39, 29, 1 0 1
34.23, 74, 1 0 3
34.43, 100, 1 1 2
41.64, 57, 2 0 0
54.96, 39, 2 1 3
71.37, 24, 3 1 2

Atomic structure:
```
data_Ac2Ni3As4Ru
_cell_length_a 4.3383
_cell_length_b 4.3383
_cell_length_c 9.8598
_cell_angle_alpha 90.00
_cell_angle_beta 90.00
_cell_angle_gamma 90.00
_symmetry_space_group_name_H-M 'P -4 m 2'
_symmetry_Int_Tables_number 115
_symmetry_space_group_name_Hall 'P -4 -2'
loop_
_atom_site_label
_atom_site_fract_x
_atom_site_fract_y
_atom_site_fract_z
Ac1 0.0000 0.5000 0.2465
Ni1 0.0000 0.5000 0.8872
Ni2 0.5000 0.5000 0.5000
As1 0.0000 0.0000 0.0000
As2 0.0000 0.5000 0.6317
As3 0.5000 0.5000 0.0000
Ru1 0.0000 0.0000 0.5000
```